Mg4Si3: theoretical powder diffractogram (Cu Ka), based on a cell relaxed with PBE.
Lines closer than 0.1° are merged.

a = 6.484 Å, b = 7.019 Å, c = 7.437 Å
α = 114.43°, β = 105.87°, γ = 94.60°
Space group P1 (No. 1)
One atom of each set of equivalent atoms:
Mg 0.000 0.000 0.000 (multiplicity 1)
Mg 0.029 0.281 0.649 (multiplicity 1)
Mg 0.226 0.462 0.381 (multiplicity 1)
Mg 0.302 0.663 0.086 (multiplicity 1)
Mg 0.374 0.946 0.713 (multiplicity 1)
Mg 0.644 0.496 0.759 (multiplicity 1)
Mg 0.679 0.322 0.214 (multiplicity 1)
Mg 0.933 0.771 0.287 (multiplicity 1)
Si 0.288 0.108 0.423 (multiplicity 1)
Si 0.607 0.890 0.040 (multiplicity 1)
Si 0.624 0.706 0.476 (multiplicity 1)
Si 0.632 0.021 0.407 (multiplicity 1)
Si 0.949 0.378 0.004 (multiplicity 1)
Si 0.988 0.670 0.639 (multiplicity 1)

Main lines, in order of rising 2θ (2θ from 10° to 90°):
Position (°2θ), d/Å, intensity, index
31.40, 2.849, 32, -2 1 1
32.15, 2.784, 100, 1 -1 2
33.55, 2.671, 61, 2 1 -2
34.57, 2.594, 42, 1 -2 2
35.88, 2.503, 56, -1 2 1
38.99, 2.310, 46, 0 2 -3
39.97, 2.255, 61, 1 0 -3
43.60, 2.076, 51, 1 3 -1
44.70, 2.027, 61, 3 0 0
46.37, 1.958, 40, 2 -3 1

=====

Mg4Si3: theoretical powder diffractogram (Cu Ka), based on a cell relaxed with PBE.
Lines closer than 0.1° are merged.

a = 5.338 Å, b = 6.742 Å, c = 7.988 Å
α = 68.87°, β = 86.57°, γ = 85.32°
Space group P1 (No. 1)
One atom of each set of equivalent atoms:
Mg 0.000 0.000 0.000 (multiplicity 1)
Mg 0.012 0.421 0.115 (multiplicity 1)
Mg 0.058 0.790 0.721 (multiplicity 1)
Mg 0.206 0.618 0.363 (multiplicity 1)
Mg 0.304 0.361 0.762 (multiplicity 1)
Mg 0.508 0.115 0.173 (multiplicity 1)
Mg 0.601 0.769 0.542 (multiplicity 1)
Mg 0.781 0.284 0.523 (multiplicity 1)
Si 0.020 0.015 0.350 (multiplicity 1)
Si 0.308 0.155 0.509 (multiplicity 1)
Si 0.480 0.579 0.012 (multiplicity 1)
Si 0.487 0.954 0.818 (multiplicity 1)
Si 0.700 0.690 0.227 (multiplicity 1)
Si 0.794 0.425 0.823 (multiplicity 1)

Main lines, in order of rising 2θ (2θ from 10° to 90°):
Position (°2θ), d/Å, intensity, index
34.77, 2.580, 53, 0 2 -1
35.80, 2.508, 100, -1 2 2
36.24, 2.479, 43, 2 0 -1
36.88, 2.437, 46, 1 1 3
37.30, 2.411, 21, 0 2 3
39.44, 2.285, 19, 1 -2 1
39.72, 2.269, 24, 2 1 2
40.61, 2.222, 20, 1 0 -3
40.81, 2.211, 22, 2 -1 1
42.67, 2.119, 31, 1 3 1

=====

Mg4Si7: theoretical powder diffractogram (Cu Ka), based on a cell relaxed with PBE.
Lines closer than 0.1° are merged.

a = 3.816 Å, b = 7.604 Å, c = 15.612 Å
α = 100.82°, β = 94.16°, γ = 99.65°
Space group P1 (No. 1)
One atom of each set of equivalent atoms:
Mg 0.000 0.000 0.000 (multiplicity 1)
Mg 0.019 0.960 0.312 (multiplicity 1)
Mg 0.184 0.332 0.211 (multiplicity 1)
Mg 0.277 0.309 0.733 (multiplicity 1)
Mg 0.423 0.809 0.829 (multiplicity 1)
Mg 0.498 0.965 0.154 (multiplicity 1)
Mg 0.717 0.979 0.659 (multiplicity 1)
Mg 0.826 0.610 0.117 (multiplicity 1)
Si 0.001 0.092 0.840 (multiplicity 1)
Si 0.051 0.481 0.567 (multiplicity 1)
Si 0.094 0.164 0.551 (multiplicity 1)
Si 0.314 0.704 0.996 (multiplicity 1)
Si 0.403 0.705 0.248 (multiplicity 1)
Si 0.458 0.728 0.401 (multiplicity 1)
Si 0.544 0.064 0.460 (multiplicity 1)
Si 0.579 0.241 0.922 (multiplicity 1)
Si 0.616 0.625 0.640 (multiplicity 1)
Si 0.622 0.250 0.078 (multiplicity 1)
Si 0.654 0.243 0.338 (multiplicity 1)
Si 0.736 0.556 0.916 (multiplicity 1)
Si 0.866 0.550 0.769 (multiplicity 1)
Si 0.912 0.545 0.426 (multiplicity 1)

Main lines, in order of rising 2θ (2θ from 10° to 90°):
Position (°2θ), d/Å, intensity, index
25.31, 3.518, 52, -1 1 1
29.34, 3.044, 65, 0 1 -5
30.32, 2.948, 61, -1 1 3
33.89, 2.645, 59, -1 2 2
34.94, 2.568, 100, 0 1 -6
35.38, 2.537, 73, 1 0 4
35.96, 2.497, 57, 1 0 -5
36.44, 2.466, 53, 1 1 3
37.37, 2.406, 78, 1 2 0
47.94, 1.897, 76, 2 -1 0

=====

Mg4Si7: theoretical powder diffractogram (Cu Ka), based on a cell relaxed with PBE.
Lines closer than 0.1° are merged.

a = 4.002 Å, b = 8.482 Å, c = 12.465 Å
α = 84.71°, β = 85.65°, γ = 89.03°
Space group P1 (No. 1)
One atom of each set of equivalent atoms:
Mg 0.000 0.000 0.000 (multiplicity 1)
Mg 0.009 0.393 0.913 (multiplicity 1)
Mg 0.029 0.400 0.674 (multiplicity 1)
Mg 0.399 0.734 0.339 (multiplicity 1)
Mg 0.445 0.480 0.112 (multiplicity 1)
Mg 0.535 0.090 0.795 (multiplicity 1)
Mg 0.609 0.257 0.513 (multiplicity 1)
Mg 0.979 0.792 0.720 (multiplicity 1)
Si 0.087 0.097 0.645 (multiplicity 1)
Si 0.318 0.294 0.316 (multiplicity 1)
Si 0.383 0.925 0.523 (multiplicity 1)
Si 0.396 0.111 0.180 (multiplicity 1)
Si 0.433 0.645 0.573 (multiplicity 1)
Si 0.466 0.765 0.891 (multiplicity 1)
Si 0.496 0.211 0.995 (multiplicity 1)
Si 0.504 0.555 0.766 (multiplicity 1)
Si 0.825 0.461 0.301 (multiplicity 1)
Si 0.882 0.963 0.238 (multiplicity 1)
Si 0.909 0.006 0.424 (multiplicity 1)
Si 0.927 0.554 0.477 (multiplicity 1)
Si 0.945 0.677 0.996 (multiplicity 1)
Si 0.956 0.702 0.182 (multiplicity 1)

Main lines, in order of rising 2θ (2θ from 10° to 90°):
Position (°2θ), d/Å, intensity, index
24.84, 3.584, 28, 1 1 1
31.78, 2.816, 36, -1 2 1
31.93, 2.803, 35, 0 3 1
35.35, 2.539, 57, 1 0 4
35.55, 2.525, 100, 1 2 -2
38.17, 2.358, 29, 1 -2 3
38.80, 2.321, 51, 1 3 1
39.83, 2.263, 29, -1 3 1
40.53, 2.226, 52, 0 2 5
45.48, 1.994, 79, 2 0 0

=====

Mg4Si7: theoretical powder diffractogram (Cu Ka), based on a cell relaxed with PBE.
Lines closer than 0.1° are merged.

a = 4.237 Å, b = 6.774 Å, c = 14.832 Å
α = 82.06°, β = 82.00°, γ = 85.15°
Space group P-1 (No. 2)
One atom of each set of equivalent atoms:
Mg 0.000 0.000 0.000 (multiplicity 1)
Mg 0.000 0.000 0.500 (multiplicity 1)
Mg 0.386 0.023 0.163 (multiplicity 2)
Mg 0.408 0.123 0.647 (multiplicity 2)
Mg 0.481 0.678 0.576 (multiplicity 2)
Si 0.067 0.166 0.317 (multiplicity 2)
Si 0.070 0.641 0.445 (multiplicity 2)
Si 0.086 0.525 0.299 (multiplicity 2)
Si 0.179 0.429 0.052 (multiplicity 2)
Si 0.183 0.725 0.823 (multiplicity 2)
Si 0.401 0.388 0.784 (multiplicity 2)
Si 0.456 0.720 0.061 (multiplicity 2)

Main lines, in order of rising 2θ (2θ from 10° to 90°):
Position (°2θ), d/Å, intensity, index
13.23, 6.694, 30, 0 1 0
29.24, 3.054, 30, 1 1 -2
33.12, 2.705, 50, 1 2 2
34.67, 2.587, 32, 1 0 -4
34.87, 2.573, 27, 1 2 -1
35.13, 2.554, 100, 1 -1 4
37.36, 2.407, 62, -1 2 2
37.78, 2.381, 39, 0 1 6
40.46, 2.229, 32, 1 -2 3
42.36, 2.134, 35, 0 3 3

=====

Mg4Si7: theoretical powder diffractogram (Cu Ka), based on a cell relaxed with PBE.
Lines closer than 0.1° are merged.

a = 4.081 Å, b = 8.188 Å, c = 12.669 Å
α = 83.03°, β = 84.95°, γ = 87.52°
Space group P1 (No. 1)
One atom of each set of equivalent atoms:
Mg 0.000 0.000 0.000 (multiplicity 1)
Mg 0.021 0.321 0.791 (multiplicity 1)
Mg 0.082 0.956 0.700 (multiplicity 1)
Mg 0.377 0.238 0.397 (multiplicity 1)
Mg 0.432 0.212 0.155 (multiplicity 1)
Mg 0.875 0.986 0.305 (multiplicity 1)
Mg 0.897 0.651 0.185 (multiplicity 1)
Mg 0.959 0.463 0.003 (multiplicity 1)
Si 0.043 0.363 0.563 (multiplicity 1)
Si 0.116 0.646 0.804 (multiplicity 1)
Si 0.209 0.809 0.511 (multiplicity 1)
Si 0.320 0.677 0.353 (multiplicity 1)
Si 0.329 0.569 0.634 (multiplicity 1)
Si 0.402 0.875 0.188 (multiplicity 1)
Si 0.418 0.701 0.041 (multiplicity 1)
Si 0.502 0.255 0.947 (multiplicity 1)
Si 0.543 0.076 0.816 (multiplicity 1)
Si 0.565 0.203 0.627 (multiplicity 1)
Si 0.582 0.780 0.857 (multiplicity 1)
Si 0.680 0.974 0.520 (multiplicity 1)
Si 0.819 0.507 0.397 (multiplicity 1)
Si 0.901 0.325 0.256 (multiplicity 1)

Main lines, in order of rising 2θ (2θ from 10° to 90°):
Position (°2θ), d/Å, intensity, index
24.82, 3.587, 42, 1 -1 0
25.10, 3.548, 35, 0 1 -3
30.61, 2.921, 60, 1 2 0
32.65, 2.743, 40, 1 -2 1
34.49, 2.601, 51, 1 1 -3
35.79, 2.509, 46, 1 2 -2
37.71, 2.386, 63, 1 -1 4
38.56, 2.335, 36, -1 1 4
38.88, 2.316, 68, 1 -2 3
44.58, 2.032, 100, 2 0 1

=====

Mg3Si4: theoretical powder diffractogram (Cu Ka), based on a cell relaxed with PBE.
Lines closer than 0.1° are merged.

a = 5.351 Å, b = 6.805 Å, c = 7.910 Å
α = 104.18°, β = 108.88°, γ = 99.44°
Space group P1 (No. 1)
One atom of each set of equivalent atoms:
Mg 0.000 0.000 0.000 (multiplicity 1)
Mg 0.116 0.507 0.436 (multiplicity 1)
Mg 0.294 0.061 0.418 (multiplicity 1)
Mg 0.416 0.735 0.948 (multiplicity 1)
Mg 0.601 0.252 0.957 (multiplicity 1)
Mg 0.725 0.523 0.710 (multiplicity 1)
Si 0.106 0.922 0.678 (multiplicity 1)
Si 0.125 0.296 0.710 (multiplicity 1)
Si 0.166 0.408 0.042 (multiplicity 1)
Si 0.535 0.388 0.312 (multiplicity 1)
Si 0.545 0.875 0.666 (multiplicity 1)
Si 0.701 0.784 0.395 (multiplicity 1)
Si 0.724 0.086 0.261 (multiplicity 1)
Si 0.961 0.678 0.131 (multiplicity 1)

Main lines, in order of rising 2θ (2θ from 10° to 90°):
Position (°2θ), d/Å, intensity, index
33.50, 2.675, 62, 1 1 1
34.09, 2.630, 58, 1 2 -1
34.57, 2.595, 52, -2 1 1
35.25, 2.546, 71, 1 1 -3
37.46, 2.401, 46, 1 -2 2
38.03, 2.366, 100, 0 0 3
40.20, 2.243, 86, -1 2 2
40.32, 2.237, 65, 0 3 -1
41.18, 2.192, 34, 2 -1 1
41.65, 2.168, 43, 1 -3 1

=====

Mg2Si3: theoretical powder diffractogram (Cu Ka), based on a cell relaxed with PBE.
Lines closer than 0.1° are merged.

a = 11.708 Å, b = 4.079 Å, c = 15.673 Å
α = 90.00°, β = 98.42°, γ = 90.00°
Space group C2/m (No. 12)
One atom of each set of equivalent atoms:
Mg 0.012 0.000 0.198 (multiplicity 4)
Mg 0.108 0.500 0.690 (multiplicity 4)
Mg 0.133 0.500 0.497 (multiplicity 4)
Mg 0.140 0.000 0.003 (multiplicity 4)
Si 0.014 0.000 0.582 (multiplicity 4)
Si 0.016 0.500 0.077 (multiplicity 4)
Si 0.145 0.500 0.289 (multiplicity 4)
Si 0.169 0.500 0.869 (multiplicity 4)
Si 0.179 0.000 0.375 (multiplicity 4)
Si 0.218 0.500 0.154 (multiplicity 4)

Main lines, in order of rising 2θ (2θ from 10° to 90°):
Position (°2θ), d/Å, intensity, index
31.91, 2.805, 28, 3 1 0
33.07, 2.709, 18, 3 1 1
34.74, 2.582, 46, 3 1 -3
35.18, 2.551, 22, 3 1 2
36.32, 2.474, 48, 1 1 -5
38.14, 2.359, 100, 1 1 5
44.42, 2.039, 60, 0 2 0
44.62, 2.031, 28, 5 1 -1
49.67, 1.836, 17, 3 1 -7
77.57, 1.231, 19, 1 3 5

=====

Mg5Si6: theoretical powder diffractogram (Cu Ka), based on a cell relaxed with PBE.
Lines closer than 0.1° are merged.

a = 29.672 Å, b = 4.029 Å, c = 6.977 Å
α = 90.00°, β = 103.38°, γ = 90.00°
Space group Cm (No. 8)
One atom of each set of equivalent atoms:
Mg 0.000 0.000 0.000 (multiplicity 2)
Mg 0.029 0.500 0.353 (multiplicity 2)
Mg 0.071 0.500 0.879 (multiplicity 2)
Mg 0.162 0.000 0.954 (multiplicity 2)
Mg 0.199 0.000 0.503 (multiplicity 2)
Mg 0.238 0.500 0.851 (multiplicity 2)
Mg 0.278 0.000 0.198 (multiplicity 2)
Mg 0.315 0.000 0.744 (multiplicity 2)
Mg 0.402 0.500 0.821 (multiplicity 2)
Mg 0.440 0.500 0.305 (multiplicity 2)
Si 0.011 0.000 0.620 (multiplicity 2)
Si 0.091 0.000 0.209 (multiplicity 2)
Si 0.091 0.000 0.570 (multiplicity 2)
Si 0.137 0.500 0.281 (multiplicity 2)
Si 0.142 0.500 0.647 (multiplicity 2)
Si 0.211 0.500 0.200 (multiplicity 2)
Si 0.266 0.500 0.504 (multiplicity 2)
Si 0.332 0.500 0.056 (multiplicity 2)
Si 0.341 0.500 0.425 (multiplicity 2)
Si 0.385 0.000 0.096 (multiplicity 2)
Si 0.389 0.000 0.475 (multiplicity 2)
Si 0.470 0.000 0.708 (multiplicity 2)

Main lines, in order of rising 2θ (2θ from 10° to 90°):
Position (°2θ), d/Å, intensity, index
34.13, 2.627, 18, 1 1 -2
35.31, 2.542, 94, 5 1 -2
35.76, 2.511, 100, 7 1 1
35.84, 2.505, 69, 9 1 -1
37.44, 2.402, 48, 3 1 2
39.91, 2.259, 32, 6 0 -3
41.05, 2.199, 40, 11 1 0
41.82, 2.160, 32, 2 0 3
45.00, 2.015, 65, 0 2 0
63.10, 1.473, 19, 2 2 3

=====

Mg4Si3: theoretical powder diffractogram (Cu Ka), based on a cell relaxed with PBE.
Lines closer than 0.1° are merged.

a = 4.812 Å, b = 7.342 Å, c = 8.019 Å
α = 93.11°, β = 94.43°, γ = 104.66°
Space group P1 (No. 1)
One atom of each set of equivalent atoms:
Mg 0.000 0.000 0.000 (multiplicity 1)
Mg 0.028 0.867 0.612 (multiplicity 1)
Mg 0.171 0.303 0.731 (multiplicity 1)
Mg 0.326 0.225 0.351 (multiplicity 1)
Mg 0.370 0.704 0.884 (multiplicity 1)
Mg 0.445 0.659 0.454 (multiplicity 1)
Mg 0.633 0.260 0.991 (multiplicity 1)
Mg 0.903 0.652 0.189 (multiplicity 1)
Si 0.197 0.393 0.078 (multiplicity 1)
Si 0.496 0.902 0.192 (multiplicity 1)
Si 0.580 0.034 0.697 (multiplicity 1)
Si 0.764 0.542 0.750 (multiplicity 1)
Si 0.788 0.101 0.435 (multiplicity 1)
Si 0.890 0.463 0.475 (multiplicity 1)

Main lines, in order of rising 2θ (2θ from 10° to 90°):
Position (°2θ), d/Å, intensity, index
35.16, 2.553, 91, 0 1 -3
35.65, 2.519, 56, 1 2 0
35.74, 2.513, 94, -1 2 2
36.02, 2.494, 54, 1 1 2
36.27, 2.477, 37, 1 2 -1
37.59, 2.393, 58, 2 -1 0
39.43, 2.285, 100, 1 -3 1
40.11, 2.248, 41, 2 -1 1
40.30, 2.238, 39, 1 -1 3
49.70, 1.834, 26, 2 0 -3

=====

Mg3Si4: theoretical powder diffractogram (Cu Ka), based on a cell relaxed with PBE.
Lines closer than 0.1° are merged.

a = 4.446 Å, b = 7.955 Å, c = 7.973 Å
α = 99.17°, β = 94.06°, γ = 104.48°
Space group P1 (No. 1)
One atom of each set of equivalent atoms:
Mg 0.000 0.000 0.000 (multiplicity 1)
Mg 0.021 0.219 0.404 (multiplicity 1)
Mg 0.273 0.673 0.582 (multiplicity 1)
Mg 0.318 0.641 0.967 (multiplicity 1)
Mg 0.678 0.314 0.077 (multiplicity 1)
Mg 0.892 0.739 0.261 (multiplicity 1)
Si 0.059 0.252 0.804 (multiplicity 1)
Si 0.303 0.490 0.252 (multiplicity 1)
Si 0.424 0.984 0.481 (multiplicity 1)
Si 0.507 0.977 0.185 (multiplicity 1)
Si 0.544 0.263 0.669 (multiplicity 1)
Si 0.672 0.475 0.488 (multiplicity 1)
Si 0.802 0.684 0.769 (multiplicity 1)
Si 0.913 0.949 0.629 (multiplicity 1)

Main lines, in order of rising 2θ (2θ from 10° to 90°):
Position (°2θ), d/Å, intensity, index
11.32, 7.818, 47, 0 0 1
30.11, 2.968, 44, -1 2 1
34.28, 2.616, 45, 1 -2 2
35.28, 2.544, 63, 1 2 -1
35.58, 2.523, 63, 0 3 0
36.82, 2.441, 84, -1 2 2
38.20, 2.356, 90, 1 1 2
39.96, 2.256, 65, 1 1 -3
40.70, 2.217, 100, 2 -1 0
42.66, 2.120, 53, 1 -2 3